[1]
Structure and theoretical powder diffraction line list of SrCaPb2 (a DFT-relaxed cell (PBE, Alexandria); Cu Kα).
Neutral-atom scattering factors, no anomalous dispersion.

Peak list (10 most intense, 2θ from 15° to 90°, by angle)
(2 0 0), 2θ 17.5, I 41; (1 1 -1), 2θ 26.9, I 30; (2 0 -2), 2θ 28.1, I 49; (1 1 1), 2θ 28.6, I 100; (2 0 2), 2θ 34.3, I 28; (4 0 0), 2θ 35.5, I 30; (3 1 -1), 2θ 35.6, I 58; (1 1 -3), 2θ 45.0, I 23; (6 0 -2), 2θ 55.4, I 23; (2 2 2), 2θ 59.2, I 23

Cell and atoms:
```
data_SrCaPb2
_chemical_formula_sum 'Sr2 Ca2 Pb4'
_symmetry_space_group_name_H-M 'C 1 2/m 1'
_symmetry_Int_Tables_number 12
_cell_length_a 10.3463
_cell_length_b 3.8880
_cell_length_c 7.0724
_cell_angle_alpha 90.00
_cell_angle_beta 101.89
_cell_angle_gamma 90.00
loop_
_symmetry_equiv_pos_as_xyz
'x,y,z'
'-x,-y,-z'
'-x,y,-z'
'x,-y,z'
'x+1/2,y+1/2,z'
'-x+1/2,-y+1/2,-z'
'-x+1/2,y+1/2,-z'
'x+1/2,-y+1/2,z'
loop_
_atom_site_label
_atom_site_fract_x
_atom_site_fract_y
_atom_site_fract_z
Sr1 0.0000 0.0000 0.0000
Ca1 0.0000 0.5000 0.5000
Pb1 0.2470 0.0000 0.7176
```


[2]
Structure and theoretical powder diffraction line list of Ti7IrRh2 (a DFT-relaxed cell (PBE, Alexandria); Cu Kα).
Neutral-atom scattering factors, no anomalous dispersion.

Peak list (10 most intense, 2θ from 15° to 90°, by angle)
(1 1 1), 2θ 16.7, I 28; (2 2 0), 2θ 27.5, I 100; (3 1 1), 2θ 32.4, I 22; (2 2 2), 2θ 33.9, I 21; (4 0 0), 2θ 39.3, I 82; (4 2 2), 2θ 48.6, I 42; (4 4 0), 2θ 56.8, I 53; (6 2 0), 2θ 64.2, I 19; (4 4 4), 2θ 71.2, I 17; (6 4 2), 2θ 78.0, I 21

Cell and atoms:
```
data_Ti7IrRh2
_chemical_formula_sum 'Ti28 Ir4 Rh8'
_symmetry_space_group_name_H-M 'F m -3 m'
_symmetry_Int_Tables_number 225
_symmetry_space_group_name_Hall '-F 4 2 3'
_cell_length_a 9.1711
_cell_length_b 9.1711
_cell_length_c 9.1711
_cell_angle_alpha 90.00
_cell_angle_beta 90.00
_cell_angle_gamma 90.00
loop_
_atom_site_label
_atom_site_fract_x
_atom_site_fract_y
_atom_site_fract_z
Ti1 0.0000 0.0000 0.0000
Ti2 0.0000 0.0000 0.2452
Ir1 0.0000 0.0000 0.5000
Rh1 0.2500 0.2500 0.2500
```


[3]
Structure and theoretical powder diffraction line list of Pr6AsO12 (a DFT-relaxed cell (PBE, Alexandria); Cu Kα).
Neutral-atom scattering factors, no anomalous dispersion.

Peak list (10 most intense, 2θ from 15° to 90°, by angle)
(0 0 3), 2θ 27.4, I 33; (2 1 1), 2θ 28.2, I 100; (3 -2 2), 2θ 32.5, I 44; (2 1 4), 2θ 46.0, I 31; (1 4 0), 2θ 47.1, I 28; (3 -2 5), 2θ 54.4, I 14; (5 -1 3), 2θ 55.3, I 25; (6 -4 1), 2θ 55.8, I 12; (4 2 2), 2θ 58.4, I 10; (3 5 1), 2θ 75.9, I 9

Cell and atoms:
```
data_Pr6AsO12
_chemical_formula_sum 'Pr18 As3 O36'
_symmetry_space_group_name_H-M 'R -3'
_symmetry_Int_Tables_number 148
_symmetry_space_group_name_Hall '-R 3'
_cell_length_a 10.2118
_cell_length_b 10.2118
_cell_length_c 9.7698
_cell_angle_alpha 90.00
_cell_angle_beta 90.00
_cell_angle_gamma 120.00
loop_
_atom_site_label
_atom_site_fract_x
_atom_site_fract_y
_atom_site_fract_z
Pr1 0.0525 0.2599 0.1513
As1 0.0000 0.0000 0.5000
O1 0.0401 0.2284 0.9056
O2 0.0418 0.1759 0.3949
```


[4]
Structure and theoretical powder diffraction line list of BaCa3 (a DFT-relaxed cell (PBE, Alexandria); Cu Kα).
Neutral-atom scattering factors, no anomalous dispersion.

Peak list (10 most intense, 2θ from 15° to 90°, by angle)
(2 0 -1), 2θ 17.0, I 12; (1 1 0), 2θ 23.1, I 12; (1 1 1), 2θ 27.0, I 100; (4 0 0), 2θ 27.1, I 33; (2 0 2), 2θ 30.8, I 23; (3 1 -1), 2θ 31.5, I 44; (1 1 -3), 2θ 44.6, I 16; (5 1 1), 2θ 44.7, I 16; (0 2 0), 2θ 45.2, I 17; (4 2 0), 2θ 53.4, I 28

Cell and atoms:
```
data_BaCa3
_chemical_formula_sum 'Ba2 Ca6'
_symmetry_space_group_name_H-M 'C 1 2/m 1'
_symmetry_Int_Tables_number 12
_cell_length_a 13.3409
_cell_length_b 4.0169
_cell_length_c 7.0752
_cell_angle_alpha 90.00
_cell_angle_beta 99.08
_cell_angle_gamma 90.00
loop_
_symmetry_equiv_pos_as_xyz
'x,y,z'
'-x,-y,-z'
'-x,y,-z'
'x,-y,z'
'x+1/2,y+1/2,z'
'-x+1/2,-y+1/2,-z'
'-x+1/2,y+1/2,-z'
'x+1/2,-y+1/2,z'
loop_
_atom_site_label
_atom_site_fract_x
_atom_site_fract_y
_atom_site_fract_z
Ba1 0.0000 0.0000 0.0000
Ca1 0.0000 0.5000 0.5000
Ca2 0.2457 0.0000 0.7389
```


[5]
Structure and theoretical powder diffraction line list of Np3UPa2As6 (a DFT-relaxed cell (PBE, Alexandria); Cu Kα).
Neutral-atom scattering factors, no anomalous dispersion.

Peak list (10 most intense, 2θ from 15° to 90°, by angle)
(2 0 2), 2θ 26.3, I 12; (3 1 0), 2θ 26.7, I 23; (6 0 0), 2θ 30.9, I 100; (5 1 2), 2θ 43.8, I 26; (2 0 -4), 2θ 44.1, I 13; (0 2 0), 2θ 44.4, I 12; (7 1 -2), 2θ 44.6, I 25; (6 2 0), 2θ 55.1, I 13; (12 0 0), 2θ 64.3, I 13; (11 1 2), 2θ 72.5, I 12

Cell and atoms:
```
data_Np3UPa2As6
_chemical_formula_sum 'Np6 U2 Pa4 As12'
_symmetry_space_group_name_H-M 'C 1 2/m 1'
_symmetry_Int_Tables_number 12
_cell_length_a 17.7699
_cell_length_b 4.0789
_cell_length_c 8.2247
_cell_angle_alpha 90.00
_cell_angle_beta 102.02
_cell_angle_gamma 90.00
loop_
_symmetry_equiv_pos_as_xyz
'x,y,z'
'-x,-y,-z'
'-x,y,-z'
'x,-y,z'
'x+1/2,y+1/2,z'
'-x+1/2,-y+1/2,-z'
'-x+1/2,y+1/2,-z'
'x+1/2,-y+1/2,z'
loop_
_atom_site_label
_atom_site_fract_x
_atom_site_fract_y
_atom_site_fract_z
Np1 0.0000 0.0000 0.0000
Np2 0.1661 0.5000 0.3360
U1 0.0000 0.0000 0.5000
Pa1 0.1666 0.5000 0.8364
As1 0.0006 0.5000 0.7487
As2 0.1670 0.0000 0.0855
As3 0.1667 0.0000 0.5861
```